Simulated powder diffractogram of Y2S2F for CuKα, from a DFT-relaxed cell (GGA-PBE, Alexandria).
Peak positions follow from Bragg's law for the DFT cell and can differ from measured ones.

Largest 6 diffraction maxima, in order of rising 2θ, 5 to 70 degrees two-theta:
| d (Å) | intensity |
| --- | --- |
| 3.718 | 1000 |
| 2.641 | 191 |
| 2.629 | 380 |
| 1.926 | 269 |
| 1.710 | 180 |
| 1.663 | 175 |

Crystal structure
Lattice parameters (Å, degrees): 3.718 3.718 11.261 90.00 90.00 90.00
Sites, in units of the cell vectors:
Y 0.000 0.000 0.194
Y 0.000 0.000 0.806
S 0.000 0.000 0.413
S 0.000 0.000 0.587
F 0.000 0.000 0.000

***

Simulated powder diffractogram of ZnS6F2 for CuKα, from a DFT-relaxed cell (GGA-PBE, Alexandria).
Peak positions follow from Bragg's law for the DFT cell and can differ from measured ones.

Largest 6 diffraction maxima, in order of rising 2θ, 5 to 70 degrees two-theta:
| d (Å) | intensity |
| --- | --- |
| 5.649 | 815 |
| 3.972 | 1000 |
| 3.508 | 510 |
| 3.471 | 660 |
| 2.883 | 829 |
| 2.780 | 632 |

Crystal structure
Lattice parameters (Å, degrees): 4.025 7.232 7.290 76.18 81.12 85.20
Sites, in units of the cell vectors:
Zn 0.000 0.000 0.000
S 0.026 0.549 0.746
S 0.155 0.701 0.291
S 0.156 0.247 0.468
S 0.844 0.753 0.532
S 0.845 0.299 0.709
S 0.974 0.451 0.254
F 0.368 0.915 0.857
F 0.632 0.085 0.143

***

Simulated powder diffractogram of ZnSF6 for CuKα, from a DFT-relaxed cell (GGA-PBE, Alexandria).
Peak positions follow from Bragg's law for the DFT cell and can differ from measured ones.

Largest 6 diffraction maxima, in order of rising 2θ, 5 to 70 degrees two-theta:
| d (Å) | intensity |
| --- | --- |
| 4.411 | 1000 |
| 3.584 | 959 |
| 2.898 | 368 |
| 2.123 | 800 |
| 1.961 | 280 |
| 1.627 | 204 |

Crystal structure
Lattice parameters (Å, degrees): 5.068 5.068 4.966 96.81 96.81 120.98
Sites, in units of the cell vectors:
Zn 0.000 0.000 0.000
S 0.500 0.500 0.500
F 0.133 0.417 0.264
F 0.258 0.258 0.728
F 0.417 0.133 0.264
F 0.583 0.867 0.736
F 0.742 0.742 0.272
F 0.867 0.583 0.736

***

Simulated powder diffractogram of ZrSF for CuKα, from a DFT-relaxed cell (GGA-PBE, Alexandria).
Peak positions follow from Bragg's law for the DFT cell and can differ from measured ones.

Largest 6 diffraction maxima, in order of rising 2θ, 5 to 70 degrees two-theta:
| d (Å) | intensity |
| --- | --- |
| 6.880 | 1000 |
| 4.073 | 240 |
| 3.159 | 240 |
| 2.527 | 262 |
| 2.473 | 404 |
| 1.767 | 275 |

Crystal structure
Lattice parameters (Å, degrees): 3.556 5.053 6.880 90.00 90.00 90.00
Sites, in units of the cell vectors:
Zr 0.250 0.250 0.117
Zr 0.750 0.750 0.883
S 0.250 0.750 0.166
S 0.750 0.250 0.834
F 0.250 0.750 0.704
F 0.750 0.250 0.296

***

Simulated powder diffractogram of SbF3 for CuKα, from a DFT-relaxed cell (GGA-PBE, Alexandria).
Peak positions follow from Bragg's law for the DFT cell and can differ from measured ones.

Largest 6 diffraction maxima, in order of rising 2θ, 5 to 70 degrees two-theta:
| d (Å) | intensity |
| --- | --- |
| 4.532 | 1000 |
| 4.402 | 773 |
| 3.660 | 469 |
| 3.260 | 497 |
| 2.814 | 391 |
| 2.350 | 411 |

Crystal structure
Lattice parameters (Å, degrees): 5.731 5.731 4.540 92.72 92.72 79.38
Sites, in units of the cell vectors:
Sb 0.231 0.231 0.423
Sb 0.769 0.769 0.577
F 0.093 0.095 0.745
F 0.176 0.542 0.665
F 0.458 0.824 0.335
F 0.539 0.182 0.667
F 0.818 0.461 0.333
F 0.905 0.907 0.255